Entry 1:
The following is a calculated powder diffractogram of TlFeCuSe2. It was derived from DFT lattice parameters and positions (GGA-PBE), using λ = 1.5418 Å (Cu Kα).
Peak positions follow from Bragg's law for the DFT cell and can differ from measured ones.

Largest 12 diffraction maxima, low angle first, 2θ = 10–80°:
| 2θ (°) | I_rel |
| --- | --- |
| 23.67 | 15 |
| 25.77 | 11 |
| 29.99 | 100 |
| 32.42 | 18 |
| 34.99 | 43 |
| 39.94 | 17 |
| 46.51 | 29 |
| 51.65 | 36 |
| 56.33 | 34 |
| 62.94 | 9 |
| 67.88 | 9 |
| 73.11 | 9 |

Structure:
abc: 7.4457 7.4457 7.4457
angles: 149.59 149.59 43.54
Sites, in units of the cell vectors:
1 Tl 0.0000 0.0000 0.0000
2 Fe 0.7500 0.2500 0.5000
3 Cu 0.2500 0.7500 0.5000
4 Se 0.3517 0.3517 0.0000
5 Se 0.6483 0.6483 0.0000

---

Entry 2:
The following is a calculated powder diffractogram of SmFeCu. It was derived from DFT lattice parameters and positions (GGA-PBE), using λ = 1.5418 Å (Cu Kα).
Peak positions follow from Bragg's law for the DFT cell and can differ from measured ones.

Largest 12 diffraction maxima, low angle first, 2θ = 10–80°:
| 2θ (°) | I_rel |
| --- | --- |
| 34.11 | 44 |
| 34.36 | 20 |
| 36.67 | 100 |
| 40.04 | 68 |
| 40.26 | 35 |
| 40.87 | 20 |
| 41.16 | 38 |
| 62.81 | 14 |
| 65.38 | 15 |
| 67.55 | 14 |
| 67.74 | 19 |
| 71.83 | 15 |

Structure:
abc: 8.7328 5.2575 5.2575
angles: 59.53 90.00 90.00
Sites, in units of the cell vectors:
1 Sm 0.1856 0.0000 0.0000
2 Sm 0.3129 0.3346 0.3346
3 Sm 0.6871 0.3346 0.3346
4 Sm 0.8144 0.0000 0.0000
5 Fe 0.0000 0.0040 0.4980
6 Fe 0.0000 0.4980 0.0040
7 Fe 0.0000 0.5007 0.5007
8 Fe 0.5000 0.8323 0.8323
9 Cu 0.2478 0.6701 0.6701
10 Cu 0.5000 0.3373 0.8318
11 Cu 0.5000 0.8318 0.3373
12 Cu 0.7522 0.6701 0.6701

---

Entry 3:
The following is a calculated powder diffractogram of TbFeCu. It was derived from DFT lattice parameters and positions (GGA-PBE), using λ = 1.5418 Å (Cu Kα).
Peak positions follow from Bragg's law for the DFT cell and can differ from measured ones.

Largest 12 diffraction maxima, low angle first, 2θ = 10–80°:
| 2θ (°) | I_rel |
| --- | --- |
| 34.35 | 100 |
| 35.03 | 21 |
| 35.33 | 26 |
| 39.89 | 82 |
| 41.23 | 81 |
| 41.43 | 68 |
| 42.88 | 19 |
| 62.40 | 18 |
| 62.79 | 18 |
| 64.23 | 20 |
| 67.43 | 18 |
| 72.41 | 35 |

Structure:
abc: 5.2266 5.2266 5.2266
angles: 121.83 121.31 87.31
Sites, in units of the cell vectors:
1 Tb 0.3720 0.1220 0.2500
2 Tb 0.6280 0.8780 0.7500
3 Fe 0.0000 0.0000 0.5000
4 Fe 0.0000 0.5000 0.0000
5 Cu 0.0000 0.5000 0.5000
6 Cu 0.5000 0.5000 0.0000

---

Entry 4:
The following is a calculated powder diffractogram of Ti2FeCu. It was derived from DFT lattice parameters and positions (GGA-PBE), using λ = 1.5418 Å (Cu Kα).
Peak positions follow from Bragg's law for the DFT cell and can differ from measured ones.

Largest 12 diffraction maxima, low angle first, 2θ = 10–80°:
| 2θ (°) | I_rel |
| --- | --- |
| 28.43 | 2 |
| 30.24 | 3 |
| 33.51 | 1 |
| 41.99 | 100 |
| 43.29 | 47 |
| 52.61 | 1 |
| 58.84 | 8 |
| 62.88 | 14 |
| 67.58 | 1 |
| 70.42 | 1 |
| 75.80 | 14 |
| 78.52 | 27 |

Structure:
abc: 2.9557 2.9557 6.2782
angles: 90.00 90.00 90.00
Sites, in units of the cell vectors:
1 Ti 0.0000 0.0000 0.2363
2 Ti 0.0000 0.0000 0.7637
3 Fe 0.5000 0.5000 0.0000
4 Cu 0.5000 0.5000 0.5000

---

Entry 5:
The following is a calculated powder diffractogram of YFeCu. It was derived from DFT lattice parameters and positions (GGA-PBE), using λ = 1.5418 Å (Cu Kα).
Peak positions follow from Bragg's law for the DFT cell and can differ from measured ones.

Largest 12 diffraction maxima, low angle first, 2θ = 10–80°:
| 2θ (°) | I_rel |
| --- | --- |
| 34.37 | 74 |
| 34.64 | 14 |
| 35.45 | 21 |
| 39.92 | 48 |
| 40.11 | 48 |
| 40.94 | 100 |
| 41.47 | 77 |
| 42.37 | 38 |
| 43.05 | 42 |
| 66.76 | 27 |
| 67.38 | 21 |
| 72.44 | 43 |

Structure:
abc: 5.2235 5.2235 5.2235
angles: 122.01 120.56 87.80
Sites, in units of the cell vectors:
1 Y 0.3708 0.1208 0.2500
2 Y 0.6292 0.8792 0.7500
3 Fe 0.0000 0.0000 0.5000
4 Fe 0.0000 0.5000 0.0000
5 Cu 0.0000 0.5000 0.5000
6 Cu 0.5000 0.5000 0.0000

---

Entry 6:
The following is a calculated powder diffractogram of GaCu2. It was derived from DFT lattice parameters and positions (GGA-PBE), using λ = 1.5418 Å (Cu Kα).
Peak positions follow from Bragg's law for the DFT cell and can differ from measured ones.

Largest 12 diffraction maxima, low angle first, 2θ = 10–80°:
| 2θ (°) | I_rel |
| --- | --- |
| 34.65 | 5 |
| 42.81 | 24 |
| 42.96 | 100 |
| 43.35 | 25 |
| 56.35 | 4 |
| 56.65 | 2 |
| 62.19 | 8 |
| 62.57 | 14 |
| 73.12 | 5 |
| 78.57 | 11 |
| 78.84 | 7 |
| 79.27 | 15 |

Structure:
abc: 4.2080 4.2080 2.5885
angles: 90.00 90.00 120.53
Sites, in units of the cell vectors:
1 Ga 0.0000 0.0000 0.0000
2 Cu 0.3342 0.6658 0.5000
3 Cu 0.6658 0.3342 0.5000

---

Entry 7:
The following is a calculated powder diffractogram of Ga2Cu. It was derived from DFT lattice parameters and positions (GGA-PBE), using λ = 1.5418 Å (Cu Kα).
Peak positions follow from Bragg's law for the DFT cell and can differ from measured ones.

Largest 12 diffraction maxima, low angle first, 2θ = 10–80°:
| 2θ (°) | I_rel |
| --- | --- |
| 15.02 | 14 |
| 30.31 | 7 |
| 31.51 | 19 |
| 35.08 | 48 |
| 44.29 | 100 |
| 45.16 | 54 |
| 46.18 | 13 |
| 55.36 | 5 |
| 63.06 | 5 |
| 65.77 | 16 |
| 66.58 | 17 |
| 76.78 | 9 |

Structure:
abc: 2.8395 2.8395 5.8970
angles: 90.00 90.00 90.00
Sites, in units of the cell vectors:
1 Ga 0.0000 0.0000 0.2156
2 Ga 0.0000 0.0000 0.7844
3 Cu 0.5000 0.5000 0.5000

---

Entry 8:
The following is a calculated powder diffractogram of GaCu3. It was derived from DFT lattice parameters and positions (GGA-PBE), using λ = 1.5418 Å (Cu Kα).
Peak positions follow from Bragg's law for the DFT cell and can differ from measured ones.

Largest 5 diffraction maxima, low angle first, 2θ = 10–80°:
| 2θ (°) | I_rel |
| --- | --- |
| 39.87 | 25 |
| 42.74 | 27 |
| 45.48 | 100 |
| 59.87 | 14 |
| 72.39 | 15 |

Structure:
abc: 5.2217 5.2217 4.2315
angles: 90.00 90.00 120.00
Sites, in units of the cell vectors:
1 Ga 0.3333 0.6667 0.2500
2 Ga 0.6667 0.3333 0.7500
3 Cu 0.1654 0.3307 0.7500
4 Cu 0.1654 0.8346 0.7500
5 Cu 0.3307 0.1654 0.2500
6 Cu 0.6693 0.8346 0.7500
7 Cu 0.8346 0.1654 0.2500
8 Cu 0.8346 0.6693 0.2500